Diffraction record for Li2CoPO4F. The powder diffractogram is computed, not measured: it uses a cell relaxed with GGA+U and Cu Kα.
Intensities are scaled so that the largest is 100.

Top 8 peaks for 2θ from 10° to 80°, in order of falling intensity:
3.373 Å, I 100.0; 3.220 Å, I 45.4; 4.983 Å, I 38.3; 2.522 Å, I 26.6; 1.687 Å, I 19.7; 2.071 Å, I 17.3; 3.413 Å, I 15.4; 1.706 Å, I 15.2

Cell and atoms:
a = 5.369 Å, b = 5.373 Å, c = 7.472 Å
α = 108.88°, β = 108.89°, γ = 94.10°
Fractional positions:
Li  0.000  0.000  0.000
Li  0.049  0.306  0.399
Li  0.299  0.557  0.214
Li  0.612  0.610  0.614
Co  0.516  0.083  0.049
Co  0.524  0.091  0.562
P  0.169  0.440  0.805
P  0.870  0.736  0.306
O  0.171  0.795  0.444
O  0.208  0.257  0.932
O  0.233  0.733  0.961
O  0.354  0.401  0.680
O  0.671  0.771  0.420
O  0.815  0.435  0.169
O  0.834  0.933  0.190
O  0.877  0.372  0.648
F  0.368  0.236  0.305
F  0.651  0.959  0.806



Diffraction record for Sr2Li3CoF12. The powder diffractogram is computed, not measured: it uses a cell relaxed with GGA+U and Cu Kα.
Intensities are scaled so that the largest is 100.

Top 8 peaks for 2θ from 10° to 80°, in order of falling intensity:
2.997 Å, I 100.0; 5.474 Å, I 69.9; 3.582 Å, I 47.2; 2.175 Å, I 40.4; 1.934 Å, I 31.7; 1.791 Å, I 23.9; 2.475 Å, I 23.1; 1.650 Å, I 21.6

Cell and atoms:
a = 6.860 Å, b = 6.860 Å, c = 6.860 Å
α = 62.95°, β = 62.95°, γ = 62.95°
Fractional positions:
Sr  0.153  0.153  0.153
Sr  0.847  0.847  0.847
Li  0.000  0.500  0.500
Li  0.500  0.000  0.500
Li  0.500  0.500  0.000
Co  0.500  0.500  0.500
F  0.115  0.115  0.561
F  0.115  0.561  0.115
F  0.204  0.558  0.558
F  0.439  0.885  0.885
F  0.442  0.442  0.796
F  0.442  0.796  0.442
F  0.558  0.204  0.558
F  0.558  0.558  0.204
F  0.561  0.115  0.115
F  0.796  0.442  0.442
F  0.885  0.439  0.885
F  0.885  0.885  0.439



Diffraction record for LiTlCoF4. The powder diffractogram is computed, not measured: it uses a cell relaxed with GGA+U and Cu Kα.
Intensities are scaled so that the largest is 100.

Top 8 peaks for 2θ from 10° to 80°, in order of falling intensity:
3.286 Å, I 100.0; 3.024 Å, I 77.1; 3.493 Å, I 61.8; 2.732 Å, I 61.6; 4.544 Å, I 52.9; 3.826 Å, I 51.8; 4.365 Å, I 46.7; 2.350 Å, I 44.7

Cell and atoms:
a = 5.390 Å, b = 5.461 Å, c = 7.302 Å
α = 90.00°, β = 95.94°, γ = 90.00°
Fractional positions:
Li  0.150  0.250  0.336
Li  0.850  0.750  0.664
Tl  0.290  0.250  0.880
Tl  0.710  0.750  0.120
Co  0.327  0.750  0.539
Co  0.673  0.250  0.461
F  0.036  0.250  0.571
F  0.172  0.750  0.784
F  0.401  0.004  0.334
F  0.401  0.496  0.334
F  0.599  0.504  0.666
F  0.599  0.996  0.666
F  0.828  0.250  0.216
F  0.964  0.750  0.429



Diffraction record for LiTlCoF6. The powder diffractogram is computed, not measured: it uses a cell relaxed with GGA+U and Cu Kα.
Intensities are scaled so that the largest is 100.

Top 8 peaks for 2θ from 10° to 80°, in order of falling intensity:
4.388 Å, I 100.0; 3.467 Å, I 81.3; 1.823 Å, I 57.7; 2.726 Å, I 55.8; 2.834 Å, I 37.1; 2.140 Å, I 33.6; 4.920 Å, I 32.2; 1.463 Å, I 29.6

Cell and atoms:
a = 4.903 Å, b = 4.903 Å, c = 9.840 Å
α = 90.00°, β = 90.00°, γ = 90.00°
Fractional positions:
Li  0.000  0.000  0.000
Li  0.500  0.500  0.500
Tl  0.000  0.000  0.334
Tl  0.500  0.500  0.834
Co  0.000  0.000  0.668
Co  0.500  0.500  0.168
F  0.183  0.183  0.833
F  0.197  0.197  0.511
F  0.204  0.204  0.161
F  0.296  0.704  0.661
F  0.303  0.697  0.011
F  0.317  0.683  0.333
F  0.683  0.317  0.333
F  0.697  0.303  0.011
F  0.704  0.296  0.661
F  0.796  0.796  0.161
F  0.803  0.803  0.511
F  0.817  0.817  0.833



Please write out number 1 again, unchanged.
Diffraction record for Li2CoPO4F. The powder diffractogram is computed, not measured: it uses a cell relaxed with GGA+U and Cu Kα.
Intensities are scaled so that the largest is 100.

Top 8 peaks for 2θ from 10° to 80°, in order of falling intensity:
3.373 Å, I 100.0; 3.220 Å, I 45.4; 4.983 Å, I 38.3; 2.522 Å, I 26.6; 1.687 Å, I 19.7; 2.071 Å, I 17.3; 3.413 Å, I 15.4; 1.706 Å, I 15.2

Cell and atoms:
a = 5.369 Å, b = 5.373 Å, c = 7.472 Å
α = 108.88°, β = 108.89°, γ = 94.10°
Fractional positions:
Li  0.000  0.000  0.000
Li  0.049  0.306  0.399
Li  0.299  0.557  0.214
Li  0.612  0.610  0.614
Co  0.516  0.083  0.049
Co  0.524  0.091  0.562
P  0.169  0.440  0.805
P  0.870  0.736  0.306
O  0.171  0.795  0.444
O  0.208  0.257  0.932
O  0.233  0.733  0.961
O  0.354  0.401  0.680
O  0.671  0.771  0.420
O  0.815  0.435  0.169
O  0.834  0.933  0.190
O  0.877  0.372  0.648
F  0.368  0.236  0.305
F  0.651  0.959  0.806